1.
Structure and simulated powder X-ray diffraction pattern of SrCdAg (a structure optimized by DFT (PBE); Cu Kα (λ = 1.5418 Å)).

Atomic structure:
```
SrCdAg
1.0
4.9319 0.0000 0.0000
-2.4660 4.2712 0.0000
0.0000 0.0000 4.1364
Sr Cd Ag
1 1 1
direct
0.0000 0.0000 0.0000
0.3333 0.6667 0.5000
0.6667 0.3333 0.5000
```

Top 12 peaks for 10 to 80 degrees two-theta, by angle:
| two_theta | I_rel |
| --- | --- |
| 21.48 | 18 |
| 30.07 | 100 |
| 36.43 | 73 |
| 42.69 | 18 |
| 43.77 | 14 |
| 47.94 | 27 |
| 58.22 | 35 |
| 61.68 | 24 |
| 65.57 | 12 |
| 69.87 | 4 |
| 71.96 | 8 |
| 77.40 | 8 |


2.
Structure and simulated powder X-ray diffraction pattern of Sr5Cd4Ag (a structure optimized by DFT (PBE); Cu Kα (λ = 1.5418 Å)).

Atomic structure:
```
Sr5Cd4Ag
1.0
3.9880 0.0000 0.0000
0.0000 3.9880 0.0000
0.0000 0.0000 20.5991
Sr Cd Ag
5 4 1
direct
0.0000 0.0000 0.0000
0.0000 0.0000 0.2021
0.0000 0.0000 0.4048
0.0000 0.0000 0.5952
0.0000 0.0000 0.7979
0.5000 0.5000 0.1011
0.5000 0.5000 0.3035
0.5000 0.5000 0.6965
0.5000 0.5000 0.8989
0.5000 0.5000 0.5000
```

Top 12 peaks for 10 to 80 degrees two-theta, by angle:
| two_theta | I_rel |
| --- | --- |
| 22.29 | 2 |
| 31.21 | 100 |
| 31.73 | 48 |
| 43.96 | 9 |
| 45.49 | 17 |
| 55.22 | 19 |
| 56.20 | 36 |
| 65.11 | 11 |
| 66.29 | 5 |
| 72.84 | 8 |
| 75.09 | 8 |
| 75.37 | 8 |


3.
Structure and simulated powder X-ray diffraction pattern of SrCd4Ag4 (a structure optimized by DFT (PBE); Cu Kα (λ = 1.5418 Å)).

Atomic structure:
```
SrCd4Ag4
1.0
-4.6192 4.6192 2.4737
4.6192 -4.6192 2.4737
4.6192 4.6192 -2.4737
Sr Cd Ag
1 4 4
direct
0.0000 0.0000 0.0000
0.0912 0.6308 0.7220
0.3692 0.0912 0.4605
0.6308 0.9088 0.5395
0.9088 0.3692 0.2780
0.2891 0.3844 0.6735
0.3844 0.7109 0.0953
0.6156 0.2891 0.9047
0.7109 0.6156 0.3265
```

Top 12 peaks for 10 to 80 degrees two-theta, by angle:
| two_theta | I_rel |
| --- | --- |
| 28.14 | 27 |
| 30.60 | 42 |
| 34.30 | 52 |
| 36.32 | 42 |
| 38.99 | 11 |
| 39.61 | 100 |
| 48.20 | 23 |
| 50.36 | 14 |
| 63.68 | 21 |
| 64.10 | 16 |
| 67.59 | 34 |
| 75.60 | 9 |


4.
Structure and simulated powder X-ray diffraction pattern of Sr6Cd2Ag (a structure optimized by DFT (PBE); Cu Kα (λ = 1.5418 Å)).

Atomic structure:
```
Sr6Cd2Ag
1.0
0.0000 7.1626 8.6599
2.8713 0.0000 8.6599
2.8713 7.1626 0.0000
Sr Cd Ag
6 2 1
direct
0.1334 0.8666 0.1334
0.1992 0.4733 0.5267
0.4733 0.1992 0.8008
0.5267 0.8008 0.1992
0.8008 0.5267 0.4733
0.8666 0.1334 0.8666
0.1723 0.1723 0.8277
0.8277 0.8277 0.1723
0.5000 0.5000 0.5000
```

Top 12 peaks for 10 to 80 degrees two-theta, by angle:
| two_theta | I_rel |
| --- | --- |
| 12.36 | 22 |
| 28.82 | 100 |
| 30.98 | 25 |
| 31.15 | 25 |
| 38.42 | 24 |
| 44.51 | 18 |
| 53.78 | 16 |
| 54.00 | 17 |
| 60.32 | 6 |
| 69.97 | 8 |
| 72.39 | 7 |
| 76.85 | 7 |